Record 1
Simulated X-ray diffraction stick pattern
Compound: Zr3Bi2As2Pt4
Radiation: Cu Kα X-rays
Structure: a crystal structure in OQMD, relaxed with GGA-PBE

Peak list (10 most intense, 10 to 90 degrees two-theta, low angle first)
two_theta	intensity
19.88	14
24.24	96
34.29	11
39.95	100
40.39	50
46.89	14
47.66	32
58.44	17
72.25	15
73.14	32

Atomic structure:
Cell lengths 7.847, 7.847, 7.847 Å; angles 132.53, 132.53, 69.39 degrees
Positions (direct):
Zr  0.000  0.000  0.000
Zr  0.250  0.750  0.500
Zr  0.750  0.250  0.500
Bi  0.000  0.500  0.500
Bi  0.500  0.000  0.500
As  0.260  0.260  0.000
As  0.740  0.740  0.000
Pt  0.098  0.098  0.470
Pt  0.372  0.902  0.000
Pt  0.628  0.628  0.530
Pt  0.902  0.372  0.000



Record 2
Simulated X-ray diffraction stick pattern
Compound: Sr2ZnBiAs
Radiation: Cu Kα X-rays
Structure: a crystal structure in OQMD, relaxed with GGA-PBE

Peak list (10 most intense, 10 to 90 degrees two-theta, low angle first)
two_theta	intensity
15.46	31
23.48	18
24.14	30
24.44	36
26.07	28
31.44	59
34.61	100
39.60	37
41.78	24
46.89	26

Atomic structure:
Cell lengths 9.393, 9.393, 7.375 Å; angles 90.00, 90.00, 151.96 degrees
Positions (direct):
Sr  0.019  0.981  0.500
Sr  0.191  0.809  0.782
Sr  0.809  0.191  0.282
Sr  0.981  0.019  0.000
Zn  0.404  0.596  0.632
Zn  0.596  0.404  0.132
Bi  0.169  0.831  0.255
Bi  0.831  0.169  0.755
As  0.438  0.562  0.287
As  0.562  0.438  0.787



Record 3
Simulated X-ray diffraction stick pattern
Compound: Tb3BiAs2
Radiation: Cu Kα X-rays
Structure: a crystal structure in OQMD, relaxed with GGA-PBE

Peak list (10 most intense, 10 to 90 degrees two-theta, low angle first)
two_theta	intensity
25.81	8
29.76	100
42.32	33
42.87	38
53.05	20
61.81	11
69.70	13
70.49	17
78.15	11
78.53	6

Atomic structure:
Cell lengths 4.220, 4.220, 10.529 Å; angles 90.00, 90.00, 120.00 degrees
Positions (direct):
Tb  0.000  0.000  0.000
Tb  0.333  0.667  0.311
Tb  0.667  0.333  0.689
Bi  0.000  0.000  0.500
As  0.333  0.667  0.842
As  0.667  0.333  0.158



Record 4
Simulated X-ray diffraction stick pattern
Compound: Gd3AsBrCl2
Radiation: Cu Kα X-rays
Structure: a crystal structure in OQMD, relaxed with GGA-PBE

Peak list (10 most intense, 10 to 90 degrees two-theta, low angle first)
two_theta	intensity
15.41	25
15.69	30
22.06	25
27.02	31
31.11	100
31.68	48
44.57	36
44.99	71
55.71	37
82.42	24

Atomic structure:
Cell lengths 5.750, 5.750, 5.649 Å; angles 90.00, 90.00, 90.00 degrees
Positions (direct):
Gd  0.000  0.000  0.000
Gd  0.000  0.500  0.500
Gd  0.500  0.000  0.500
As  0.000  0.000  0.500
Br  0.500  0.500  0.500
Cl  0.000  0.500  0.000
Cl  0.500  0.000  0.000